Diffraction record for TaNbH. The XRD peak list is theoretical, not measured: it uses a crystal structure in OQMD, relaxed with PBE and λ = 1.5418 Å (Cu Kα).

Peak list (9 most intense, 5 to 70 degrees two-theta, low angle first)
(0 1 0), 18.5 deg, rel. 1; (1 0 0), 26.2 deg, rel. 11; (1 1 1), 37.4 deg, rel. 100; (1 0 2), 46.3 deg, rel. 3; (1 2 1), 50.2 deg, rel. 1; (2 0 0), 54.0 deg, rel. 17; (0 3 0), 57.5 deg, rel. 1; (2 1 1), 61.0 deg, rel. 5; (2 0 2), 67.6 deg, rel. 35

Crystal structure
a b c (Å): 3.396 4.807 4.800
angles (deg): 90.00 90.00 90.00
Space group P222_1 (No. 17)
Inequivalent atoms, fractional coordinates:
Ta (0.000, 0.232, 0.250) x2
Nb (0.500, 0.238, 0.750) x2
H (0.246, 0.500, 0.500) x2

Diffraction record for TaNbH. The XRD peak list is theoretical, not measured: it uses a crystal structure in OQMD, relaxed with PBE and λ = 1.5418 Å (Cu Kα).

Peak list (10 most intense, 5 to 70 degrees two-theta, low angle first)
(0 1 0), 18.5 deg, rel. 11; (0 0 1), 32.2 deg, rel. 3; (1 1 0), 37.4 deg, rel. 100; (0 2 0), 37.5 deg, rel. 19; (1 1 -1), 42.1 deg, rel. 3; (1 2 0), 50.3 deg, rel. 4; (1 0 1), 54.0 deg, rel. 21; (0 0 2), 67.4 deg, rel. 11; (2 0 0), 67.6 deg, rel. 24; (1 3 0), 67.7 deg, rel. 7

Crystal structure
a b c (Å): 2.938 4.794 2.947
angles (deg): 90.00 109.47 90.00
Space group P2 (No. 3)
Inequivalent atoms, fractional coordinates:
Ta (0.000, 0.000, 0.000) x1
Nb (0.500, 0.530, 0.500) x1
H (0.500, 0.263, 0.000) x1

Diffraction record for TaNb3H2. The XRD peak list is theoretical, not measured: it uses a crystal structure in OQMD, relaxed with PBE and λ = 1.5418 Å (Cu Kα).

Peak list (10 most intense, 5 to 70 degrees two-theta, low angle first)
(0 1 0), 18.5 deg, rel. 13; (1 0 0), 26.2 deg, rel. 8; (1 0 -1), 32.2 deg, rel. 5; (1 1 -1), 37.4 deg, rel. 100; (1 1 1), 37.5 deg, rel. 100; (0 1 2), 42.0 deg, rel. 4; (2 0 0), 54.0 deg, rel. 34; (2 0 -2), 67.4 deg, rel. 39; (2 2 0), 67.5 deg, rel. 11; (2 0 2), 67.7 deg, rel. 17

Crystal structure
a b c (Å): 3.396 4.815 4.799
angles (deg): 90.00 90.28 90.00
Space group P2 (No. 3)
Inequivalent atoms, fractional coordinates:
Ta (0.000, 0.000, 0.000) x1
Nb (0.000, 0.534, 0.500) x1
Nb (0.500, 0.001, 0.500) x1
Nb (0.500, 0.531, 0.000) x1
H (0.249, 0.265, 0.249) x2

Diffraction record for Nd2H. The XRD peak list is theoretical, not measured: it uses a crystal structure in OQMD, relaxed with PBE and λ = 1.5418 Å (Cu Kα).

Peak list (5 most intense, 5 to 70 degrees two-theta, low angle first)
(2 0 0), 27.5 deg, rel. 100; (2 2 0), 39.3 deg, rel. 79; (2 2 2), 48.6 deg, rel. 28; (4 0 0), 56.7 deg, rel. 13; (4 2 0), 64.2 deg, rel. 37

Crystal structure
a b c (Å): 6.492 6.492 6.492
angles (deg): 90.00 90.00 90.00
Space group Fm-3m (No. 225)
Inequivalent atoms, fractional coordinates:
Nd (0.250, 0.250, 0.250) x8
H (0.000, 0.000, 0.000) x4

Diffraction record for NdH7. The XRD peak list is theoretical, not measured: it uses a crystal structure in OQMD, relaxed with PBE and λ = 1.5418 Å (Cu Kα).

Peak list (10 most intense, 5 to 70 degrees two-theta, low angle first)
(1 1 0), 23.2 deg, rel. 100; (0 0 2), 25.1 deg, rel. 40; (1 1 -2), 29.3 deg, rel. 58; (0 2 1), 33.5 deg, rel. 39; (2 0 0), 34.9 deg, rel. 36; (1 1 2), 39.0 deg, rel. 28; (2 2 -1), 45.5 deg, rel. 18; (0 2 3), 49.9 deg, rel. 14; (1 3 -1), 50.6 deg, rel. 21; (2 2 1), 52.6 deg, rel. 22

Crystal structure
a b c (Å): 5.519 5.775 7.601
angles (deg): 90.00 111.10 90.00
Space group C2/c (No. 15)
Inequivalent atoms, fractional coordinates:
Nd (0.000, 0.109, 0.250) x4
H (0.000, 0.296, 0.750) x4
H (0.057, 0.309, 0.978) x8
H (0.143, 0.361, 0.078) x8
H (0.215, 0.092, 0.588) x8

Diffraction record for NdH3. The XRD peak list is theoretical, not measured: it uses a crystal structure in OQMD, relaxed with PBE and λ = 1.5418 Å (Cu Kα).

Peak list (10 most intense, 5 to 70 degrees two-theta, low angle first)
(1 0 0), 17.7 deg, rel. 63; (1 0 1), 29.8 deg, rel. 100; (1 1 0), 30.9 deg, rel. 61; (2 0 0), 35.8 deg, rel. 10; (2 0 1), 43.5 deg, rel. 37; (1 2 0), 48.0 deg, rel. 9; (1 2 1), 54.3 deg, rel. 39; (3 0 0), 54.9 deg, rel. 12; (1 1 2), 58.8 deg, rel. 20; (2 2 0), 64.3 deg, rel. 8

Crystal structure
a b c (Å): 5.7916 5.7916 3.7372
angles (deg): 90.00 90.00 120.00
Space group P6_3/m (No. 176)
Inequivalent atoms, fractional coordinates:
Nd (0.3333, 0.6667, 0.2500) x2
H (0.0945, 0.6749, 0.7500) x6

Diffraction record for NdNiSnH. The XRD peak list is theoretical, not measured: it uses a crystal structure in OQMD, relaxed with PBE and λ = 1.5418 Å (Cu Kα).

Peak list (10 most intense, 5 to 70 degrees two-theta, low angle first)
(1 1 2), 31.9 deg, rel. 84; (2 0 2), 32.5 deg, rel. 37; (2 1 1), 33.8 deg, rel. 100; (1 0 3), 34.1 deg, rel. 28; (0 1 3), 38.0 deg, rel. 60; (3 0 1), 38.7 deg, rel. 35; (0 2 0), 41.2 deg, rel. 45; (1 0 5), 55.9 deg, rel. 24; (3 2 1), 57.8 deg, rel. 22; (3 1 4), 62.1 deg, rel. 38

Crystal structure
a b c (Å): 7.253 4.383 8.451
angles (deg): 90.00 90.00 90.00
Space group Pnma (No. 62)
Inequivalent atoms, fractional coordinates:
Nd (0.013, 0.250, 0.190) x4
Ni (0.220, 0.750, 0.401) x4
Sn (0.159, 0.250, 0.570) x4
H (0.058, 0.250, 0.919) x4

Diffraction record for NdH3O3. The XRD peak list is theoretical, not measured: it uses a crystal structure in OQMD, relaxed with PBE and λ = 1.5418 Å (Cu Kα).

Peak list (10 most intense, 5 to 70 degrees two-theta, low angle first)
(1 0 0), 16.1 deg, rel. 93; (1 1 0), 28.2 deg, rel. 68; (1 0 1), 29.3 deg, rel. 100; (2 0 0), 32.6 deg, rel. 18; (2 0 1), 41.1 deg, rel. 71; (2 1 0), 43.6 deg, rel. 13; (0 0 2), 49.8 deg, rel. 37; (2 1 1), 50.5 deg, rel. 61; (2 2 0), 58.2 deg, rel. 30; (1 3 1), 66.5 deg, rel. 20

Crystal structure
a b c (Å): 6.3395 6.3395 3.6639
angles (deg): 90.00 90.00 120.00
Space group P6_3/m (No. 176)
Inequivalent atoms, fractional coordinates:
Nd (0.3333, 0.6667, 0.2500) x2
H (0.1299, 0.8606, 0.7500) x6
O (0.0810, 0.3849, 0.7500) x6

Diffraction record for PrNdH2O4. The XRD peak list is theoretical, not measured: it uses a crystal structure in OQMD, relaxed with PBE and λ = 1.5418 Å (Cu Kα).

Peak list (10 most intense, 5 to 70 degrees two-theta, low angle first)
(0 0 1), 15.0 deg, rel. 30; (1 0 -1), 21.7 deg, rel. 44; (0 1 1), 27.9 deg, rel. 100; (1 0 1), 29.9 deg, rel. 50; (1 0 -2), 31.0 deg, rel. 30; (1 1 0), 31.8 deg, rel. 32; (1 1 -1), 32.2 deg, rel. 50; (0 1 2), 38.6 deg, rel. 32; (1 1 2), 49.4 deg, rel. 31; (2 1 -2), 50.7 deg, rel. 31

Crystal structure
a b c (Å): 4.416 3.798 6.232
angles (deg): 90.00 108.72 90.00
Space group Pm (No. 6)
Inequivalent atoms, fractional coordinates:
Pr (0.000, 0.000, 0.000) x1
Nd (0.671, 0.500, 0.387) x1
H (0.320, 0.500, 0.766) x1
H (0.345, 0.000, 0.608) x1
O (0.095, 0.500, 0.753) x1
O (0.100, 0.500, 0.241) x1
O (0.573, 0.000, 0.151) x1
O (0.573, 0.000, 0.630) x1